Starting from a PBE+U-relaxed structure, the powder XRD pattern of Mn3OF5 was simulated for copper Kα.
Kinematic intensities with the Lorentz-polarization factor, no thermal factor.

Top 12 peaks for 10 to 90 degrees two-theta, by angle:
25.9 deg, I = 100.0, hkl 1 -1 1
26.0 deg, I = 95.7, hkl 1 1 -1
32.8 deg, I = 55.2, hkl -1 1 2
33.0 deg, I = 49.2, hkl 1 1 2
38.0 deg, I = 31.7, hkl 1 2 1
50.1 deg, I = 32.9, hkl -2 2 1
50.3 deg, I = 16.0, hkl 2 0 -3
50.5 deg, I = 76.8, hkl 2 0 3
53.2 deg, I = 18.1, hkl 2 -2 2
53.5 deg, I = 18.3, hkl 2 2 -2
56.0 deg, I = 21.7, hkl 0 2 4
62.8 deg, I = 12.3, hkl -1 1 5

Atomic structure:
Cell: 4.866 5.871 8.147 Å, 92.28 90.11 90.48°
Space group P1 (No. 1)
Symmetry-distinct sites (fractional):
1 Mn 0.000 0.000 0.000
2 Mn 0.001 0.328 0.315
3 Mn 0.449 0.475 0.992
4 Mn 0.478 0.161 0.669
5 Mn 0.491 0.819 0.338
6 Mn 0.992 0.628 0.680
7 O 0.186 0.286 0.093
8 O 0.294 0.431 0.773
9 F 0.172 0.624 0.436
10 F 0.188 0.930 0.767
11 F 0.283 0.785 0.103
12 F 0.290 0.123 0.438
13 F 0.660 0.513 0.216
14 F 0.682 0.862 0.580
15 F 0.697 0.179 0.888
16 F 0.770 0.683 0.910
17 F 0.786 0.355 0.549
18 F 0.797 0.019 0.235